# 1
Structure and computed X-ray diffraction stick pattern of Cu6SnWS8 (a DFT-relaxed cell (GGA-PBE, OQMD); CuKα).
Kinematic intensities with the Lorentz-polarization factor, no thermal factor.

Top 10 peaks for 2θ from 10° to 90°, in order of rising 2θ:
2θ 14.12, intensity 67, hkl 1 1 1; 2θ 16.32, intensity 39, hkl 2 0 0; 2θ 23.15, intensity 19, hkl 2 2 0; 2θ 27.22, intensity 47, hkl 3 1 1; 2θ 28.46, intensity 60, hkl 2 2 2; 2θ 32.97, intensity 31, hkl 4 0 0; 2θ 36.03, intensity 24, hkl 3 3 1; 2θ 47.33, intensity 100, hkl 4 4 0; 2θ 56.15, intensity 23, hkl 6 2 2; 2θ 88.08, intensity 32, hkl 8 4 4

Crystal structure
a = 10.8658 Å, b = 10.8658 Å, c = 10.8658 Å
α = 90.00°, β = 90.00°, γ = 90.00°
Space group F-43m (No. 216)
One atom of each set of equivalent atoms:
1 Cu 0.0000 0.0000 0.2481 x24
2 Sn 0.2500 0.2500 0.2500 x4
3 W 0.0000 0.0000 0.5000 x4
4 S 0.1193 0.1193 0.1193 x16
5 S 0.1205 0.1205 0.6205 x16

---

# 2
Structure and computed X-ray diffraction stick pattern of ErSbN2O (a DFT-relaxed cell (GGA-PBE, OQMD); CuKα).
Kinematic intensities with the Lorentz-polarization factor, no thermal factor.

Top 10 peaks for 2θ from 10° to 90°, in order of rising 2θ:
2θ 27.74, intensity 20, hkl 1 1 0; 2θ 28.75, intensity 44, hkl 1 1 1; 2θ 29.96, intensity 36, hkl 0 0 4; 2θ 31.60, intensity 100, hkl 1 1 2; 2θ 41.28, intensity 16, hkl 1 1 4; 2θ 49.06, intensity 38, hkl 3 0 0; 2θ 54.24, intensity 23, hkl 1 1 6; 2θ 58.56, intensity 32, hkl 3 0 4; 2θ 59.54, intensity 17, hkl 2 2 2; 2θ 80.66, intensity 15, hkl 4 1 2

Crystal structure
a = 6.4328 Å, b = 6.4328 Å, c = 11.9284 Å
α = 90.00°, β = 90.00°, γ = 120.00°
Space group P6_3cm (No. 185)
One atom of each set of equivalent atoms:
1 Er 0.0000 0.0000 0.0000 x2
2 Er 0.3333 0.6667 0.4726 x4
3 Sb 0.0000 0.3335 0.2352 x6
4 N 0.0000 0.3110 0.3977 x6
5 N 0.0000 0.3576 0.0737 x6
6 O 0.0000 0.0000 0.2078 x2
7 O 0.3333 0.6667 0.2581 x4

---

# 3
Structure and computed X-ray diffraction stick pattern of KDyErC (a DFT-relaxed cell (GGA-PBE, OQMD); CuKα).
Kinematic intensities with the Lorentz-polarization factor, no thermal factor.

Top 10 peaks for 2θ from 10° to 90°, in order of rising 2θ:
2θ 25.99, intensity 23, hkl 0 0 6; 2θ 28.57, intensity 21, hkl 1 0 0; 2θ 31.47, intensity 100, hkl 1 0 3; 2θ 36.10, intensity 37, hkl 1 0 5; 2θ 39.00, intensity 15, hkl 0 1 6; 2θ 50.61, intensity 21, hkl 1 1 0; 2θ 57.76, intensity 15, hkl 1 1 6; 2θ 60.82, intensity 15, hkl 0 2 3; 2θ 62.94, intensity 12, hkl 1 1 8; 2θ 82.98, intensity 12, hkl 2 1 3

Crystal structure
a = 3.6074 Å, b = 3.6074 Å, c = 20.5712 Å
α = 90.00°, β = 90.00°, γ = 120.00°
Space group P-3m1 (No. 164)
One atom of each set of equivalent atoms:
1 K 0.3333 0.6667 0.2512 x2
2 Dy 0.3333 0.6667 0.9351 x2
3 Er 0.3333 0.6667 0.5638 x2
4 C 0.0000 0.0000 0.0000 x1
5 C 0.0000 0.0000 0.5000 x1

---

# 4
Structure and computed X-ray diffraction stick pattern of PrTeAuO (a DFT-relaxed cell (GGA-PBE, OQMD); CuKα).
Kinematic intensities with the Lorentz-polarization factor, no thermal factor.

Top 10 peaks for 2θ from 10° to 90°, in order of rising 2θ:
2θ 27.85, intensity 87, hkl 1 0 2; 2θ 31.59, intensity 91, hkl 1 1 1; 2θ 34.46, intensity 44, hkl 1 0 3; 2θ 35.31, intensity 100, hkl 1 1 2; 2θ 40.86, intensity 27, hkl 1 1 3; 2θ 43.33, intensity 70, hkl 2 0 0; 2θ 45.43, intensity 24, hkl 0 0 5; 2θ 47.71, intensity 42, hkl 1 1 4; 2θ 52.30, intensity 30, hkl 2 1 2; 2θ 64.58, intensity 34, hkl 2 0 5

Crystal structure
a = 4.1766 Å, b = 4.1766 Å, c = 9.9823 Å
α = 90.00°, β = 90.00°, γ = 90.00°
Space group P4/nmm (No. 129, origin choice 2)
One atom of each set of equivalent atoms:
1 Pr 0.2500 0.2500 0.1171 x2
2 Te 0.2500 0.2500 0.7046 x2
3 Au 0.2500 0.7500 0.5000 x2
4 O 0.2500 0.7500 0.0000 x2

---

# 5
Structure and computed X-ray diffraction stick pattern of ZnCdPO (a DFT-relaxed cell (GGA-PBE, OQMD); CuKα).
Kinematic intensities with the Lorentz-polarization factor, no thermal factor.

Top 10 peaks for 2θ from 10° to 90°, in order of rising 2θ:
2θ 19.21, intensity 33, hkl 0 1 1; 2θ 29.14, intensity 76, hkl 0 2 1; 2θ 29.32, intensity 81, hkl 0 0 2; 2θ 30.45, intensity 73, hkl 1 1 0; 2θ 33.90, intensity 100, hkl 1 1 1; 2θ 42.78, intensity 30, hkl 1 1 2; 2θ 47.70, intensity 43, hkl 1 3 0; 2θ 54.98, intensity 32, hkl 1 1 3; 2θ 56.98, intensity 33, hkl 1 3 2; 2θ 65.45, intensity 29, hkl 2 0 2

Crystal structure
a = 3.2247 Å, b = 7.0914 Å, c = 6.0930 Å
α = 90.00°, β = 90.00°, γ = 90.00°
Space group Pmc2_1 (No. 26)
One atom of each set of equivalent atoms:
1 Zn 0.0000 0.1149 0.0000 x2
2 Cd 0.5000 0.3156 0.4291 x2
3 P 0.5000 0.3339 0.8514 x2
4 O 0.0000 0.1151 0.3226 x2

---

# 6
Structure and computed X-ray diffraction stick pattern of LiY2Au2O3 (a DFT-relaxed cell (GGA-PBE, OQMD); CuKα).
Kinematic intensities with the Lorentz-polarization factor, no thermal factor.

Top 10 peaks for 2θ from 10° to 90°, in order of rising 2θ:
2θ 13.12, intensity 54, hkl 0 0 2; 2θ 26.42, intensity 31, hkl 0 0 4; 2θ 31.02, intensity 100, hkl 0 1 1; 2θ 33.14, intensity 68, hkl 0 1 2; 2θ 36.41, intensity 62, hkl 1 0 3; 2θ 45.55, intensity 40, hkl 0 1 5; 2θ 53.81, intensity 31, hkl 1 1 0; 2θ 57.06, intensity 21, hkl 1 0 7; 2θ 60.92, intensity 19, hkl 1 1 4; 2θ 64.68, intensity 15, hkl 2 0 2

Crystal structure
a = 3.4073 Å, b = 3.4073 Å, c = 13.4955 Å
α = 90.00°, β = 90.00°, γ = 120.00°
Space group P3m1 (No. 156)
One atom of each set of equivalent atoms:
1 Li 0.0000 0.0000 0.0000 x1
2 Y 0.3333 0.6667 0.4231 x1
3 Y 0.3333 0.6667 0.8220 x1
4 Au 0.0000 0.0000 0.1809 x1
5 Au 0.6667 0.3333 0.6659 x1
6 O 0.0000 0.0000 0.3455 x1
7 O 0.6667 0.3333 0.5071 x1
8 O 0.6667 0.3333 0.9159 x1

---

# 7
Structure and computed X-ray diffraction stick pattern of AlW2N (a DFT-relaxed cell (GGA-PBE, OQMD); CuKα).
Kinematic intensities with the Lorentz-polarization factor, no thermal factor.

Top 10 peaks for 2θ from 10° to 90°, in order of rising 2θ:
2θ 24.87, intensity 50, hkl 0 0 4; 2θ 25.11, intensity 34, hkl 1 1 2; 2θ 35.80, intensity 41, hkl 3 1 -1; 2θ 36.20, intensity 52, hkl 0 2 1; 2θ 36.36, intensity 95, hkl 3 1 -2; 2θ 40.49, intensity 100, hkl 0 2 3; 2θ 40.76, intensity 50, hkl 3 1 2; 2θ 41.21, intensity 37, hkl 1 1 -6; 2θ 45.25, intensity 31, hkl 1 1 6; 2θ 64.12, intensity 40, hkl 3 3 -1

Crystal structure
a = 8.6749 Å, b = 5.0388 Å, c = 14.6365 Å
α = 90.00°, β = 101.87°, γ = 90.00°
Space group C2/c (No. 15)
One atom of each set of equivalent atoms:
1 Al 0.0000 0.0836 0.2500 x4
2 Al 0.2486 0.3383 0.2509 x8
3 W 0.0313 0.4121 0.8371 x8
4 W 0.1104 0.0923 0.0870 x8
5 W 0.2262 0.0823 0.4127 x8
6 N 0.0837 0.2497 0.5002 x8
7 N 0.2500 0.2500 0.0000 x4

---

# 8
Structure and computed X-ray diffraction stick pattern of CuAs4 (a DFT-relaxed cell (GGA-PBE, OQMD); CuKα).
Kinematic intensities with the Lorentz-polarization factor, no thermal factor.

Top 10 peaks for 2θ from 10° to 90°, in order of rising 2θ:
2θ 28.05, intensity 83, hkl 1 1 1; 2θ 28.60, intensity 90, hkl 1 1 -2; 2θ 31.50, intensity 100, hkl 1 -2 2; 2θ 32.51, intensity 83, hkl -1 2 1; 2θ 37.64, intensity 31, hkl 2 0 1; 2θ 40.53, intensity 33, hkl 2 0 -2; 2θ 45.83, intensity 74, hkl 2 2 -1; 2θ 48.80, intensity 31, hkl 2 -1 3; 2θ 50.15, intensity 34, hkl 0 3 -4; 2θ 50.89, intensity 36, hkl 0 3 2

Crystal structure
a = 5.2319 Å, b = 7.6433 Å, c = 8.2317 Å
α = 108.06°, β = 91.07°, γ = 99.60°
Space group P-1 (No. 2)
One atom of each set of equivalent atoms:
1 Cu 0.0000 0.0000 0.0000 x1
2 Cu 0.0404 0.6205 0.3227 x2
3 As 0.1688 0.1690 0.7905 x2
4 As 0.1876 0.7106 0.8718 x2
5 As 0.2748 0.4278 0.4513 x2
6 As 0.3180 0.9129 0.5560 x2
7 As 0.3962 0.6246 0.1030 x2
8 As 0.4021 0.1594 0.2316 x2

---

# 9
Structure and computed X-ray diffraction stick pattern of Nd2Tm2O5 (a DFT-relaxed cell (GGA-PBE, OQMD); CuKα).
Kinematic intensities with the Lorentz-polarization factor, no thermal factor.

Top 10 peaks for 2θ from 10° to 90°, in order of rising 2θ:
2θ 29.61, intensity 53, hkl 1 1 0; 2θ 31.34, intensity 100, hkl 1 0 2; 2θ 42.37, intensity 30, hkl 2 0 0; 2θ 53.63, intensity 45, hkl 2 1 2; 2θ 56.83, intensity 15, hkl 1 1 4; 2θ 61.47, intensity 10, hkl 2 2 0; 2θ 65.39, intensity 14, hkl 2 0 4; 2θ 69.69, intensity 10, hkl 3 1 0; 2θ 70.62, intensity 10, hkl 3 0 2; 2θ 85.95, intensity 12, hkl 3 2 2

Crystal structure
a = 4.2667 Å, b = 4.2667 Å, c = 7.6811 Å
α = 90.00°, β = 90.00°, γ = 90.00°
Space group P4/mmm (No. 123)
One atom of each set of equivalent atoms:
1 Nd 0.0000 0.0000 0.0000 x1
2 Nd 0.0000 0.0000 0.5000 x1
3 Tm 0.5000 0.5000 0.2301 x2
4 O 0.0000 0.5000 0.2414 x4
5 O 0.5000 0.5000 0.5000 x1

---

# 10
Structure and computed X-ray diffraction stick pattern of GdHgTeO (a DFT-relaxed cell (GGA-PBE, OQMD); CuKα).
Kinematic intensities with the Lorentz-polarization factor, no thermal factor.

Top 10 peaks for 2θ from 10° to 90°, in order of rising 2θ:
2θ 23.45, intensity 83, hkl 0 2 0; 2θ 23.89, intensity 51, hkl 2 0 0; 2θ 26.22, intensity 76, hkl 2 1 -1; 2θ 27.77, intensity 88, hkl 1 2 -1; 2θ 32.25, intensity 93, hkl 1 0 2; 2θ 33.72, intensity 63, hkl 2 2 0; 2θ 34.72, intensity 100, hkl 1 2 -2; 2θ 38.12, intensity 59, hkl 3 1 0; 2θ 39.05, intensity 51, hkl 2 2 1; 2θ 39.55, intensity 70, hkl 3 1 -2

Crystal structure
a = 7.8382 Å, b = 7.5909 Å, c = 7.1329 Å
α = 90.00°, β = 108.15°, γ = 90.00°
Space group P2_1/c (No. 14)
One atom of each set of equivalent atoms:
1 Gd 0.0079 0.1431 0.1857 x4
2 Hg 0.4273 0.7328 0.4839 x4
3 Te 0.2995 0.0619 0.6574 x4
4 O 0.0528 0.6407 0.6325 x4

---

# 11
Structure and computed X-ray diffraction stick pattern of AuI2 (a DFT-relaxed cell (GGA-PBE, OQMD); CuKα).
Kinematic intensities with the Lorentz-polarization factor, no thermal factor.

Top 10 peaks for 2θ from 10° to 90°, in order of rising 2θ:
2θ 13.90, intensity 39, hkl 0 0 2; 2θ 22.29, intensity 85, hkl 1 0 1; 2θ 25.40, intensity 100, hkl 1 0 2; 2θ 29.92, intensity 41, hkl 1 0 3; 2θ 33.29, intensity 45, hkl 1 1 2; 2θ 41.57, intensity 83, hkl 1 1 4; 2θ 43.08, intensity 40, hkl 2 0 0; 2θ 49.02, intensity 22, hkl 2 1 1; 2θ 50.67, intensity 29, hkl 2 1 2; 2θ 77.93, intensity 30, hkl 3 1 4

Crystal structure
a = 4.1999 Å, b = 4.1999 Å, c = 12.7434 Å
α = 90.00°, β = 90.00°, γ = 90.00°
Space group P4_2/nmc (No. 137, origin choice 2)
One atom of each set of equivalent atoms:
1 Au 0.2500 0.7500 0.2500 x2
2 I 0.2500 0.2500 0.1127 x4

---

# 12
Structure and computed X-ray diffraction stick pattern of Cs2CuAuBr2Cl4 (a DFT-relaxed cell (GGA-PBE, OQMD); CuKα).
Kinematic intensities with the Lorentz-polarization factor, no thermal factor.

Top 10 peaks for 2θ from 10° to 90°, in order of rising 2θ:
2θ 23.25, intensity 100, hkl 1 1 2; 2θ 24.12, intensity 90, hkl 2 0 0; 2θ 26.66, intensity 35, hkl 1 0 3; 2θ 28.94, intensity 29, hkl 2 0 2; 2θ 31.81, intensity 41, hkl 0 0 4; 2θ 34.38, intensity 82, hkl 2 2 0; 2θ 40.32, intensity 33, hkl 2 0 4; 2θ 41.92, intensity 41, hkl 3 1 2; 2θ 47.54, intensity 50, hkl 2 2 4; 2θ 49.41, intensity 28, hkl 4 0 0

Crystal structure
a = 7.3783 Å, b = 7.3783 Å, c = 11.2520 Å
α = 90.00°, β = 90.00°, γ = 90.00°
Space group I4/mmm (No. 139)
One atom of each set of equivalent atoms:
1 Cs 0.0000 0.5000 0.2500 x4
2 Cu 0.0000 0.0000 0.0000 x2
3 Au 0.0000 0.0000 0.5000 x2
4 Br 0.0000 0.0000 0.2046 x4
5 Cl 0.2279 0.2279 0.5000 x8